# 1
Structure and simulated powder diffraction line list of NdErSi2Mo2C (a GGA-PBE-relaxed structure; Cu Kα X-rays).
No peak broadening, texture or thermal motion is included.

Structure:
```
14
Lattice="11.185 0.000 0.000 0.000 3.857 0.000 -4.228 0.000 5.861" Properties=species:S:1:pos:R:3 pbc="T T T"
Nd 0.000 0.000 0.000
Nd 5.593 1.928 0.000
Er -0.832 0.000 3.482
Er 4.761 1.928 3.482
Si -1.742 1.928 5.659
Si 2.308 0.000 3.695
Si 3.851 0.000 5.659
Si 7.900 1.928 3.695
Mo 1.546 1.928 2.255
Mo 3.230 0.000 1.290
Mo 7.139 0.000 2.255
Mo 8.822 1.928 1.290
C -0.418 1.928 1.825
C 5.175 0.000 1.825
```

Peak list (6 most intense, 2θ = 5–70°, low angle first)
2.866 Å, 31.21°, I 44
2.718 Å, 32.96°, I 31
2.676 Å, 33.49°, I 89
2.566 Å, 34.96°, I 100
2.280 Å, 39.52°, I 30
1.928 Å, 47.13°, I 25

# 2
Structure and simulated powder diffraction line list of Gd2ErMg4Al2 (a GGA-PBE-relaxed structure; Cu Kα X-rays).
No peak broadening, texture or thermal motion is included.

Structure:
```
9
Lattice="4.583 0.000 0.000 0.000 6.454 3.764 0.000 -6.454 3.764" Properties=species:S:1:pos:R:3 pbc="T T T"
Gd 0.000 -3.652 3.764
Gd 0.000 3.652 3.764
Er 0.000 0.000 2.604
Mg 0.000 0.000 5.857
Mg 2.292 0.000 0.231
Mg 2.292 -1.612 4.942
Mg 2.292 1.612 4.942
Al 2.292 -2.135 2.130
Al 2.292 2.135 2.130
```

Peak list (6 most intense, 2θ = 5–70°, low angle first)
4.583 Å, 19.37°, I 64
3.739 Å, 23.80°, I 51
3.251 Å, 27.43°, I 51
2.896 Å, 30.88°, I 76
2.652 Å, 33.80°, I 100
2.639 Å, 33.98°, I 50

# 3
Structure and simulated powder diffraction line list of BiPt21 (a GGA-PBE-relaxed structure; Cu Kα X-rays).
No peak broadening, texture or thermal motion is included.

Structure:
```
22
Lattice="4.382 -1.977 0.000 4.382 1.977 0.000 -0.022 0.000 33.728" Properties=species:S:1:pos:R:3 pbc="T T T"
Bi 0.000 0.000 0.000
Pt 0.004 0.000 15.501
Pt 0.005 0.000 24.544
Pt 0.886 0.000 27.227
Pt 0.931 0.000 18.248
Pt 1.767 0.000 29.924
Pt 1.779 0.000 20.959
Pt 2.632 0.000 23.645
Pt 2.646 0.000 32.653
Pt 2.681 0.000 14.866
Pt 3.505 0.000 26.326
Pt 3.548 0.000 17.421
Pt 4.403 0.000 20.055
Pt 4.408 0.000 29.026
Pt 5.269 0.000 22.739
Pt 5.301 0.000 31.803
Pt 6.091 0.000 16.380
Pt 6.134 0.000 25.434
Pt 7.035 0.000 19.166
Pt 7.034 0.000 28.117
Pt 7.909 0.000 21.865
Pt 7.905 0.000 30.818
```

Peak list (6 most intense, 2θ = 5–70°, low angle first)
16.864 Å, 5.24°, I 98
2.335 Å, 38.55°, I 100
2.300 Å, 39.16°, I 53
2.264 Å, 39.82°, I 94
2.217 Å, 40.70°, I 57
1.976 Å, 45.92°, I 52

# 4
Structure and simulated powder diffraction line list of Tm3ReTe5 (a GGA-PBE-relaxed structure; Cu Kα X-rays).
No peak broadening, texture or thermal motion is included.

Structure:
```
9
Lattice="8.341 0.000 0.000 -4.171 7.224 0.000 0.000 0.000 4.300" Properties=species:S:1:pos:R:3 pbc="T T T"
Tm -1.080 1.870 0.000
Tm 2.159 0.000 0.000
Tm 3.091 5.354 0.000
Re 0.000 0.000 2.150
Te -2.861 4.955 2.150
Te 1.310 2.269 2.150
Te 0.000 4.816 0.000
Te 4.171 2.408 0.000
Te 5.721 0.000 2.150
```

Peak list (6 most intense, 2θ = 5–70°, low angle first)
7.224 Å, 12.25°, I 48
2.994 Å, 29.85°, I 100
2.766 Å, 32.37°, I 32
2.408 Å, 37.35°, I 62
2.305 Å, 39.08°, I 72
1.604 Å, 57.47°, I 35

# 5
Structure and simulated powder diffraction line list of CoH5 (a GGA-PBE-relaxed structure; Cu Kα X-rays).
No peak broadening, texture or thermal motion is included.

Structure:
```
12
Lattice="-1.383 1.383 6.697 1.383 -1.383 6.697 1.383 1.383 -6.697" Properties=species:S:1:pos:R:3 pbc="T T T"
Co 0.000 0.000 1.306
Co 0.000 0.000 12.089
H 1.383 0.000 0.000
H 1.383 0.000 2.177
H 0.000 0.000 2.819
H 1.383 0.000 4.520
H 0.000 0.000 5.439
H 0.000 1.383 0.000
H 0.000 0.000 7.955
H 0.000 1.383 2.177
H 0.000 0.000 10.576
H 0.000 1.383 4.520
```

Peak list (6 most intense, 2θ = 5–70°, low angle first)
6.697 Å, 13.22°, I 38
3.349 Å, 26.62°, I 42
2.708 Å, 33.08°, I 100
1.956 Å, 46.44°, I 28
1.924 Å, 47.24°, I 50
1.689 Å, 54.33°, I 20

# 6
Structure and simulated powder diffraction line list of Y2Ag2Te3S (a GGA-PBE-relaxed structure; Cu Kα X-rays).
No peak broadening, texture or thermal motion is included.

Structure:
```
16
Lattice="9.585 0.000 0.000 0.000 10.304 0.000 -0.082 0.000 4.526" Properties=species:S:1:pos:R:3 pbc="T T T"
Y 0.000 0.000 0.000
Y 0.413 5.152 1.849
Y 4.793 5.152 0.000
Y 5.206 0.000 1.849
Ag 2.460 2.534 0.772
Ag 2.460 7.771 0.772
Ag 7.252 2.619 0.772
Ag 7.252 7.686 0.772
Te 0.049 2.115 2.217
Te 0.049 8.189 2.217
Te 2.974 0.000 4.097
Te 4.841 3.037 2.217
Te 4.841 7.267 2.217
Te 7.766 5.152 4.097
S 1.993 5.152 4.215
S 6.786 0.000 4.215
```

Peak list (6 most intense, 2θ = 5–70°, low angle first)
3.400 Å, 26.21°, I 86
3.261 Å, 27.35°, I 88
2.791 Å, 32.07°, I 100
2.623 Å, 34.18°, I 52
2.576 Å, 34.83°, I 74
2.396 Å, 37.54°, I 58

# 7
Structure and simulated powder diffraction line list of PrNd3Te3O4 (a GGA-PBE-relaxed structure; Cu Kα X-rays).
No peak broadening, texture or thermal motion is included.

Structure:
```
11
Lattice="8.907 0.000 0.000 0.000 2.052 6.693 0.000 -2.052 6.693" Properties=species:S:1:pos:R:3 pbc="T T T"
Pr 0.000 0.000 0.000
Nd 2.333 0.000 8.698
Nd 4.453 0.000 13.164
Nd 6.574 0.000 8.698
Te 1.431 0.000 4.474
Te 4.453 0.000 3.799
Te 7.476 0.000 4.474
O 0.000 0.000 7.924
O 2.293 0.000 0.845
O 4.453 0.000 7.530
O 6.614 0.000 0.845
```

Peak list (6 most intense, 2θ = 5–70°, low angle first)
3.708 Å, 24.00°, I 32
3.021 Å, 29.57°, I 100
2.944 Å, 30.36°, I 50
2.675 Å, 33.50°, I 35
2.229 Å, 40.46°, I 23
1.793 Å, 50.92°, I 23

# 8
Structure and simulated powder diffraction line list of Co2SbPd (a GGA-PBE-relaxed structure; Cu Kα X-rays).
No peak broadening, texture or thermal motion is included.

Structure:
```
16
Lattice="6.100 0.000 0.000 0.000 6.100 0.000 0.000 0.000 6.100" Properties=species:S:1:pos:R:3 pbc="T T T"
Co 0.000 0.000 0.000
Co 0.000 3.050 3.050
Co 1.525 1.525 1.525
Co 1.525 4.575 4.575
Co 3.050 0.000 3.050
Co 3.050 3.050 0.000
Co 4.575 1.525 4.575
Co 4.575 4.575 1.525
Sb 0.000 0.000 3.050
Sb 0.000 3.050 0.000
Sb 3.050 0.000 0.000
Sb 3.050 3.050 3.050
Pd 1.525 1.525 4.575
Pd 1.525 4.575 1.525
Pd 4.575 1.525 1.525
Pd 4.575 4.575 4.575
```

Peak list (5 most intense, 2θ = 5–70°, low angle first)
3.522 Å, 25.29°, I 11
2.157 Å, 41.89°, I 100
1.839 Å, 49.57°, I 6
1.525 Å, 60.74°, I 16
1.399 Å, 66.86°, I 2

# 9
Structure and simulated powder diffraction line list of Sm2GdTa2O6 (a GGA-PBE-relaxed structure; Cu Kα X-rays).
No peak broadening, texture or thermal motion is included.

Structure:
```
11
Lattice="-1.989 1.989 9.575 1.989 -1.989 9.575 1.989 1.989 -9.575" Properties=species:S:1:pos:R:3 pbc="T T T"
Sm 0.000 0.000 3.479
Sm 0.000 0.000 15.670
Gd 0.000 0.000 0.000
Ta 0.000 0.000 8.243
Ta 0.000 0.000 10.906
O 1.989 0.000 1.849
O 0.000 0.000 5.643
O 1.989 0.000 7.726
O 0.000 1.989 1.849
O 0.000 0.000 13.507
O 0.000 1.989 7.726
```

Peak list (6 most intense, 2θ = 5–70°, low angle first)
9.575 Å, 9.24°, I 44
2.813 Å, 31.81°, I 95
2.759 Å, 32.45°, I 100
2.254 Å, 40.00°, I 42
1.989 Å, 45.61°, I 48
1.613 Å, 57.08°, I 41

# 10
Structure and simulated powder diffraction line list of Ba2ZrOsN4 (a GGA-PBE-relaxed structure; Cu Kα X-rays).
No peak broadening, texture or thermal motion is included.

Structure:
```
8
Lattice="4.031 0.000 0.000 0.000 4.031 0.000 0.000 0.000 8.375" Properties=species:S:1:pos:R:3 pbc="T T T"
Ba 0.000 0.000 0.000
Ba 2.016 2.016 2.582
Zr 2.016 2.016 5.878
Os 0.000 0.000 4.671
N 0.000 0.000 2.602
N 0.000 2.016 4.859
N 2.016 0.000 4.859
N 2.016 2.016 7.857
```

Peak list (6 most intense, 2θ = 5–70°, low angle first)
8.375 Å, 10.56°, I 29
2.904 Å, 30.79°, I 100
2.851 Å, 31.38°, I 68
2.016 Å, 44.97°, I 30
1.995 Å, 45.48°, I 15
1.656 Å, 55.49°, I 38

# 11
Structure and simulated powder diffraction line list of Ag2SnTe3 (a GGA-PBE-relaxed structure; Cu Kα X-rays).
No peak broadening, texture or thermal motion is included.

Structure:
```
12
Lattice="6.877 -3.957 0.000 6.877 3.957 0.000 0.000 0.000 7.547" Properties=species:S:1:pos:R:3 pbc="T T T"
Ag 2.284 1.232 0.000
Ag 2.284 -1.232 3.774
Ag 11.469 1.232 0.000
Ag 11.469 -1.232 3.774
Sn 6.877 1.321 7.395
Sn 6.877 -1.321 3.621
Te 4.549 2.577 6.566
Te 6.877 1.409 2.750
Te 9.204 2.577 6.566
Te 4.549 -2.577 2.792
Te 6.877 -1.409 6.524
Te 9.204 -2.577 2.792
```

Peak list (6 most intense, 2θ = 5–70°, low angle first)
3.963 Å, 22.43°, I 100
3.774 Å, 23.58°, I 59
3.509 Å, 25.38°, I 66
2.286 Å, 39.41°, I 60
2.124 Å, 42.56°, I 92
1.957 Å, 46.41°, I 56

# 12
Structure and simulated powder diffraction line list of CsMgFe3As3 (a GGA-PBE-relaxed structure; Cu Kα X-rays).
No peak broadening, texture or thermal motion is included.

Structure:
```
8
Lattice="3.979 0.000 0.000 0.000 4.200 0.000 0.000 0.000 10.241" Properties=species:S:1:pos:R:3 pbc="T T T"
Cs 0.000 0.000 0.000
Mg 1.989 0.000 6.542
Fe 0.000 2.100 3.717
Fe 0.000 2.100 6.325
Fe 1.989 0.000 3.554
As 0.000 0.000 4.811
As 1.989 2.100 2.398
As 1.989 2.100 7.916
```

Peak list (6 most intense, 2θ = 5–70°, low angle first)
10.241 Å, 8.63°, I 37
3.248 Å, 27.46°, I 87
3.142 Å, 28.41°, I 100
2.780 Å, 32.20°, I 44
2.100 Å, 43.07°, I 36
1.916 Å, 47.45°, I 90

# 13
Structure and simulated powder diffraction line list of TmHfCSe (a GGA-PBE-relaxed structure; Cu Kα X-rays).
No peak broadening, texture or thermal motion is included.

Structure:
```
8
Lattice="3.540 0.000 0.000 -1.770 3.065 0.000 0.000 0.000 12.822" Properties=species:S:1:pos:R:3 pbc="T T T"
Tm 0.000 0.000 1.981
Tm 0.000 0.000 10.842
Hf 0.000 2.044 4.487
Hf 0.000 2.044 8.335
C 1.770 1.022 3.405
C 1.770 1.022 9.418
Se 0.000 0.000 6.411
Se 0.000 2.044 0.000
```

Peak list (6 most intense, 2θ = 5–70°, low angle first)
3.065 Å, 29.13°, I 28
2.981 Å, 29.97°, I 13
2.491 Å, 36.06°, I 100
1.770 Å, 51.65°, I 27
1.443 Å, 64.60°, I 18
1.363 Å, 68.88°, I 16

# 14
Structure and simulated powder diffraction line list of Y3Er2Mg3 (a GGA-PBE-relaxed structure; Cu Kα X-rays).
No peak broadening, texture or thermal motion is included.

Structure:
```
8
Lattice="6.917 0.000 0.000 -3.458 5.990 0.000 0.000 0.000 5.557" Properties=species:S:1:pos:R:3 pbc="T T T"
Y -1.717 3.002 0.000
Y 1.717 3.002 0.000
Y 0.000 5.976 0.000
Er 0.000 0.000 0.000
Er 0.000 3.993 2.779
Mg 1.765 1.019 2.779
Mg 5.152 1.019 2.779
Mg 3.458 3.952 2.779
```

Peak list (6 most intense, 2θ = 5–70°, low angle first)
4.074 Å, 21.82°, I 29
2.995 Å, 29.83°, I 29
2.779 Å, 32.22°, I 25
2.637 Å, 34.00°, I 100
1.575 Å, 58.59°, I 20
1.468 Å, 63.35°, I 21